# PuPbBr6
Computed X-ray diffraction stick pattern, Cu Kα, 1.54184 Å. Input: a cell relaxed with GGA-PBE.

Crystal structure
```
8
Lattice="3.590 2.073 6.607 -3.590 2.073 6.607 0.000 -4.146 6.607" Properties=species:S:1:pos:R:3 pbc="T T T"
Pu 0.000 0.000 0.000
Pb 0.000 0.000 9.911
Br -1.212 -2.222 8.197
Br -2.530 -0.061 11.625
Br -1.318 2.161 8.197
Br 1.318 -2.161 11.625
Br 2.530 0.061 8.197
Br 1.212 2.222 11.625
```

Most intense lines, 2θ from 5° to 70°, in order of falling intensity:
| Position (°2θ) | d [Å] | I/Imax |
| --- | --- | --- |
| 16.83 | 5.268 | 100 |
| 36.98 | 2.431 | 72 |
| 28.29 | 3.155 | 56 |
| 22.95 | 3.875 | 51 |
| 43.67 | 2.073 | 40 |
| 30.12 | 2.967 | 27 |
| 39.40 | 2.287 | 25 |
| 42.57 | 2.124 | 22 |
| 58.52 | 1.577 | 18 |
| 34.04 | 2.634 | 17 |



# Er3Tm7Pb
Computed X-ray diffraction stick pattern, Cu Kα, 1.54184 Å. Input: a cell relaxed with GGA-PBE.

Crystal structure
```
11
Lattice="6.884 0.000 0.000 -3.442 5.961 0.000 0.000 0.000 8.421" Properties=species:S:1:pos:R:3 pbc="T T T"
Er 0.000 2.006 0.000
Er -1.705 4.958 0.000
Er 1.705 4.958 0.000
Tm -1.689 2.999 5.551
Tm 1.712 0.988 2.831
Tm 0.000 3.974 2.732
Tm 1.689 2.999 5.551
Tm 0.000 5.924 5.551
Tm 5.172 0.988 2.831
Tm 3.442 3.985 2.831
Pb 0.000 0.000 5.594
```

Most intense lines, 2θ from 5° to 70°, in order of falling intensity:
| Position (°2θ) | d [Å] | I/Imax |
| --- | --- | --- |
| 31.86 | 2.809 | 100 |
| 36.95 | 2.433 | 51 |
| 63.40 | 1.467 | 42 |
| 53.25 | 1.720 | 35 |
| 66.58 | 1.405 | 12 |
| 14.86 | 5.961 | 5 |
| 18.23 | 4.866 | 4 |
| 10.50 | 8.421 | 4 |
| 25.90 | 3.440 | 2 |
| 41.49 | 2.176 | 2 |